# 1
AcAgF6: theoretical powder XRD pattern (Cu Kα, 1.54184 Å), based on DFT lattice parameters and positions (PBE).
Peak positions follow from Bragg's law for the DFT cell and can differ from measured ones.

Cell and atoms:
abc: 6.3739 6.3739 6.3739
angles: 60.00 60.00 60.00
Positions (direct):
Ac: 0.0000 0.0000 0.0000
Ag: 0.5000 0.5000 0.5000
F: 0.2661 0.2661 0.7339
F: 0.2661 0.7339 0.2661
F: 0.2661 0.7339 0.7339
F: 0.7339 0.2661 0.2661
F: 0.7339 0.2661 0.7339
F: 0.7339 0.7339 0.2661

Peak list (10 most intense, 2θ = 5–70°, low angle first)
d = 5.204 Å, 17.04 deg, I = 11; d = 4.507 Å, 19.70 deg, I = 100; d = 3.187 Å, 28.00 deg, I = 52; d = 2.602 Å, 34.47 deg, I = 11; d = 2.254 Å, 40.01 deg, I = 23; d = 2.016 Å, 44.97 deg, I = 45; d = 1.840 Å, 49.54 deg, I = 22; d = 1.593 Å, 57.87 deg, I = 14; d = 1.502 Å, 61.75 deg, I = 21; d = 1.425 Å, 65.49 deg, I = 10



# 2
AcAg2F8: theoretical powder XRD pattern (Cu Kα, 1.54184 Å), based on DFT lattice parameters and positions (PBE).
Peak positions follow from Bragg's law for the DFT cell and can differ from measured ones.

Cell and atoms:
abc: 7.0961 7.0961 7.0961
angles: 131.40 131.40 71.18
Positions (direct):
Ac: 0.0000 0.0000 0.0000
Ag: 0.2500 0.7500 0.5000
Ag: 0.7500 0.2500 0.5000
F: 0.0368 0.5625 0.8541
F: 0.1827 0.0368 0.4743
F: 0.2916 0.4375 0.4743
F: 0.4375 0.9632 0.1459
F: 0.5625 0.7084 0.5257
F: 0.7084 0.1827 0.1459
F: 0.8173 0.2916 0.8541
F: 0.9632 0.8173 0.5257

Peak list (10 most intense, 2θ = 5–70°, low angle first)
d = 5.211 Å, 17.01 deg, I = 74; d = 3.358 Å, 26.54 deg, I = 100; d = 3.213 Å, 27.77 deg, I = 20; d = 2.920 Å, 30.61 deg, I = 21; d = 2.547 Å, 35.23 deg, I = 24; d = 2.161 Å, 41.80 deg, I = 18; d = 2.065 Å, 43.84 deg, I = 16; d = 2.052 Å, 44.12 deg, I = 36; d = 1.759 Å, 51.99 deg, I = 31; d = 1.744 Å, 52.48 deg, I = 15



# 3
AcAg3F8: theoretical powder XRD pattern (Cu Kα, 1.54184 Å), based on DFT lattice parameters and positions (PBE).
Peak positions follow from Bragg's law for the DFT cell and can differ from measured ones.

Cell and atoms:
abc: 7.7806 7.7806 6.7646
angles: 91.84 91.84 31.21
Positions (direct):
Ac: 0.0000 0.0000 0.0000
Ag: 0.1470 0.1470 0.4589
Ag: 0.2723 0.2723 0.9196
Ag: 0.4245 0.4245 0.4651
F: 0.0050 0.0050 0.3921
F: 0.1314 0.1314 0.7690
F: 0.1782 0.1782 0.1639
F: 0.2825 0.2825 0.5301
F: 0.3801 0.3801 0.1555
F: 0.4827 0.4827 0.7659
F: 0.5568 0.5568 0.1469
F: 0.8501 0.8501 0.8598

Peak list (10 most intense, 2θ = 5–70°, low angle first)
d = 7.490 Å, 11.82 deg, I = 45; d = 4.032 Å, 22.05 deg, I = 100; d = 3.380 Å, 26.37 deg, I = 61; d = 3.323 Å, 26.83 deg, I = 45; d = 3.231 Å, 27.61 deg, I = 52; d = 2.923 Å, 30.59 deg, I = 76; d = 2.875 Å, 31.11 deg, I = 43; d = 2.093 Å, 43.22 deg, I = 36; d = 1.905 Å, 47.75 deg, I = 54; d = 1.863 Å, 48.89 deg, I = 33



# 4
AcAg2HgF8: theoretical powder XRD pattern (Cu Kα, 1.54184 Å), based on DFT lattice parameters and positions (PBE).
Peak positions follow from Bragg's law for the DFT cell and can differ from measured ones.

Cell and atoms:
abc: 4.2021 5.6911 8.3246
angles: 85.69 89.83 86.44
Positions (direct):
Ac: 0.0000 0.0000 0.0000
Ag: 0.4975 0.5043 0.2710
Ag: 0.5025 0.4957 0.7290
Hg: 0.0000 0.0000 0.5000
F: 0.0661 0.7664 0.2710
F: 0.0785 0.7430 0.7720
F: 0.4149 0.2412 0.4808
F: 0.4683 0.2435 0.9644
F: 0.5317 0.7565 0.0356
F: 0.5851 0.7588 0.5192
F: 0.9215 0.2570 0.2280
F: 0.9339 0.2336 0.7290

Peak list (10 most intense, 2θ = 5–70°, low angle first)
d = 3.475 Å, 25.64 deg, I = 100; d = 3.275 Å, 27.23 deg, I = 42; d = 3.234 Å, 27.58 deg, I = 40; d = 2.950 Å, 30.30 deg, I = 39; d = 2.832 Å, 31.59 deg, I = 17; d = 2.149 Å, 42.05 deg, I = 18; d = 2.097 Å, 43.14 deg, I = 17; d = 2.075 Å, 43.61 deg, I = 16; d = 2.054 Å, 44.09 deg, I = 17; d = 2.034 Å, 44.55 deg, I = 17



# 5
K2AcAgF6: theoretical powder XRD pattern (Cu Kα, 1.54184 Å), based on DFT lattice parameters and positions (PBE).
Peak positions follow from Bragg's law for the DFT cell and can differ from measured ones.

Cell and atoms:
abc: 6.4890 6.5971 11.1544
angles: 90.00 121.52 90.00
Positions (direct):
K: 0.2084 0.0518 0.2380
K: 0.2084 0.4482 0.7380
K: 0.7916 0.5518 0.2620
K: 0.7916 0.9482 0.7620
Ac: 0.5000 0.0000 0.0000
Ac: 0.5000 0.5000 0.5000
Ag: 0.0000 0.0000 0.5000
Ag: 0.0000 0.5000 0.0000
F: 0.1491 0.2025 0.9436
F: 0.1491 0.2975 0.4436
F: 0.2171 0.7196 0.9161
F: 0.2171 0.7804 0.4161
F: 0.4032 0.0759 0.7650
F: 0.4032 0.4241 0.2650
F: 0.5968 0.5759 0.7350
F: 0.5968 0.9241 0.2350
F: 0.7829 0.2196 0.5839
F: 0.7829 0.2804 0.0839
F: 0.8509 0.7025 0.5564
F: 0.8509 0.7975 0.0564

Peak list (10 most intense, 2θ = 5–70°, low angle first)
d = 5.420 Å, 16.35 deg, I = 24; d = 4.754 Å, 18.66 deg, I = 42; d = 4.621 Å, 19.21 deg, I = 87; d = 3.398 Å, 26.22 deg, I = 83; d = 3.299 Å, 27.03 deg, I = 32; d = 3.235 Å, 27.57 deg, I = 100; d = 2.377 Å, 37.85 deg, I = 20; d = 2.310 Å, 38.99 deg, I = 39; d = 1.929 Å, 47.11 deg, I = 42; d = 1.840 Å, 49.55 deg, I = 18